Computed powder diffraction line list
Compound: Li2Mn3Si6O16
Radiation: Cu Kα X-rays
Structure: a DFT-relaxed cell (GGA+U, the Materials Project)

Peak list (10 most intense, 2θ = 15–90°, by angle)
| Position (°2θ) | Rel. int. |
| --- | --- |
| 19.3 | 42 |
| 20.8 | 37 |
| 24.0 | 52 |
| 26.7 | 37 |
| 27.8 | 53 |
| 29.2 | 70 |
| 30.0 | 43 |
| 30.7 | 100 |
| 32.8 | 44 |
| 51.7 | 66 |

Crystal structure
abc: 7.0777 9.8613 10.3502
angles: 78.90 70.36 81.64
Fractional coordinates of all 54 atoms:
Li (0.0924, 0.1145, 0.0325)
Li (0.1700, 0.4158, 0.6812)
Li (0.8300, 0.5842, 0.3188)
Li (0.9076, 0.8855, 0.9675)
Mn (0.1558, 0.1164, 0.3849)
Mn (0.3490, 0.8749, 0.6113)
Mn (0.4217, 0.8594, 0.9728)
Mn (0.5783, 0.1406, 0.0272)
Mn (0.6510, 0.1251, 0.3887)
Mn (0.8442, 0.8836, 0.6151)
Si (0.0121, 0.1362, 0.7363)
Si (0.1940, 0.3969, 0.1255)
Si (0.2177, 0.6808, 0.4378)
Si (0.2571, 0.6066, 0.8559)
Si (0.3506, 0.4052, 0.3649)
Si (0.4513, 0.1339, 0.7322)
Si (0.5487, 0.8661, 0.2678)
Si (0.6494, 0.5948, 0.6351)
Si (0.7429, 0.3934, 0.1441)
Si (0.7823, 0.3192, 0.5622)
Si (0.8060, 0.6031, 0.8745)
Si (0.9879, 0.8638, 0.2637)
O (0.0483, 0.5598, 0.8482)
O (0.0604, 0.0204, 0.6320)
O (0.0699, 0.7134, 0.3404)
O (0.1196, 0.9162, 0.1055)
O (0.1365, 0.7612, 0.5698)
O (0.2166, 0.1930, 0.7444)
O (0.2215, 0.4516, 0.2573)
O (0.2460, 0.5090, 0.4847)
O (0.2635, 0.7703, 0.8557)
O (0.2635, 0.2332, 0.1237)
O (0.3078, 0.5025, 0.9861)
O (0.3499, 0.2428, 0.4252)
O (0.4165, 0.5542, 0.7127)
O (0.4386, 0.7219, 0.3329)
O (0.4511, 0.0728, 0.8884)
O (0.4511, 0.9786, 0.3752)
O (0.5489, 0.0214, 0.6248)
O (0.5489, 0.9272, 0.1116)
O (0.5614, 0.2781, 0.6671)
O (0.5835, 0.4458, 0.2873)
O (0.6501, 0.7572, 0.5748)
O (0.6922, 0.4975, 0.0139)
O (0.7365, 0.7668, 0.8763)
O (0.7365, 0.2297, 0.1443)
O (0.7540, 0.4910, 0.5153)
O (0.7785, 0.5484, 0.7427)
O (0.7834, 0.8070, 0.2556)
O (0.8635, 0.2388, 0.4302)
O (0.8804, 0.0838, 0.8945)
O (0.9301, 0.2866, 0.6596)
O (0.9396, 0.9796, 0.3680)
O (0.9517, 0.4402, 0.1518)